Calculated powder diffractogram
Compound: Cr4InAgSe8
Radiation: λ = 1.5418 Å (Cu Kα)
Structure: a PBE-relaxed structure
Lines closer than 0.1° are merged.

Structural model:
```
data_Cr4InAgSe8
_chemical_formula_sum 'Cr16 In4 Ag4 Se32'
_symmetry_space_group_name_H-M 'F -4 3 m'
_symmetry_Int_Tables_number 216
_symmetry_space_group_name_Hall 'F -4 2 3'
_cell_length_a 10.8529
_cell_length_b 10.8529
_cell_length_c 10.8529
_cell_angle_alpha 90.00
_cell_angle_beta 90.00
_cell_angle_gamma 90.00
loop_
_atom_site_label
_atom_site_type_symbol
_atom_site_fract_x
_atom_site_fract_y
_atom_site_fract_z
Cr1 Cr 0.1211 0.1211 0.1211
In1 In 0.0000 0.0000 0.5000
Ag1 Ag 0.2500 0.2500 0.7500
Se1 Se 0.1103 0.1103 0.8897
Se2 Se 0.1403 0.1403 0.3597
```

Most intense lines, 2θ = 10–80°, by angle:
2θ = 23.18°, I = 46, hkl 2 2 0; 2θ = 27.25°, I = 55, hkl 3 1 1; 2θ = 28.49°, I = 43, hkl 2 2 2; 2θ = 33.01°, I = 48, hkl 4 0 0; 2θ = 43.32°, I = 58, hkl 5 1 1; 2θ = 47.39°, I = 100, hkl 4 4 0